Computed XRD peak list
Compound: Hg4BiSe2Cl5
Radiation: λ = 1.5418 Å (Cu Kα)
Structure: DFT lattice parameters and positions (PBE)
No peak broadening, texture or thermal motion is included.

Top 12 peaks for 2θ from 5° to 70°, low angle first:
(hkl), d/Å, 2θ/deg, I_rel
1 0 2, 4.461, 19.90, 21
1 2 -2, 4.357, 20.38, 25
0 2 2, 4.260, 20.85, 100
1 0 -4, 4.215, 21.08, 31
2 0 0, 4.164, 21.34, 21
2 2 -2, 3.556, 25.04, 20
2 0 -6, 2.810, 31.85, 19
3 2 -4, 2.669, 33.58, 21
0 4 0, 2.627, 34.13, 48
1 2 4, 2.501, 35.91, 31
2 2 -6, 2.478, 36.25, 25
3 2 0, 2.455, 36.61, 19

Structure:
Cell lengths 9.687, 10.509, 16.923 Å; angles 90.00, 120.70, 90.00 degrees
Space group P2_1/c (No. 14)
One atom of each set of equivalent atoms:
Hg 0.008 0.005 0.354
Hg 0.013 0.235 0.006
Hg 0.328 0.747 0.449
Hg 0.356 0.248 0.952
Bi 0.486 0.001 0.241
Se 0.014 0.738 0.854
Se 0.043 0.247 0.366
Cl 0.237 0.530 0.563
Cl 0.257 0.545 0.089
Cl 0.295 0.004 0.312
Cl 0.303 0.501 0.327
Cl 0.431 0.249 0.199